Simulated X-ray diffraction stick pattern of BaGa5Cu4 for CuKα, from the GGA-PBE geometry in Alexandria.
No peak broadening, texture or thermal motion is included.

```
data_BaGa5Cu4
_cell_length_a 6.638
_cell_length_b 6.668
_cell_length_c 9.017
_cell_angle_alpha 90.00
_cell_angle_beta 90.00
_cell_angle_gamma 90.00
_symmetry_space_group_name_H-M 'P m m n'
_symmetry_Int_Tables_number 59
loop_
_symmetry_equiv_pos_as_xyz
'x,y,z'
'-x,-y,-z'
'-x+1/2,-y+1/2,z'
'x+1/2,y+1/2,-z'
'x+1/2,-y,-z'
'-x+1/2,y,z'
'-x,y+1/2,-z'
'x,-y+1/2,z'
loop_
_atom_site_label
_atom_site_type_symbol
_atom_site_fract_x
_atom_site_fract_y
_atom_site_fract_z
Ba1 Ba 0.250 0.250 0.000
Ga1 Ga 0.047 0.546 0.291
Ga2 Ga 0.250 0.750 0.810
Cu1 Cu 0.060 0.750 0.546
Cu2 Cu 0.250 0.066 0.532
```

The 10 most intense peaks (5 to 70 degrees two-theta), in order of rising 2θ:
| 2theta | I (rel.) |
| --- | --- |
| 9.81 | 100 |
| 27.40 | 52 |
| 33.43 | 35 |
| 33.53 | 37 |
| 39.60 | 36 |
| 42.34 | 24 |
| 43.39 | 23 |
| 49.19 | 27 |
| 53.07 | 26 |
| 58.18 | 24 |

***

Simulated X-ray diffraction stick pattern of Pr3Y2ErTe6 for CuKα, from the GGA-PBE geometry in Alexandria.
No peak broadening, texture or thermal motion is included.

```
data_Pr3Y2ErTe6
_cell_length_a 19.496
_cell_length_b 4.383
_cell_length_c 9.009
_cell_angle_alpha 90.00
_cell_angle_beta 105.01
_cell_angle_gamma 90.00
_symmetry_space_group_name_H-M 'C 1 2/m 1'
_symmetry_Int_Tables_number 12
_symmetry_space_group_name_Hall '-C 2y'
loop_
_atom_site_label
_atom_site_type_symbol
_atom_site_fract_x
_atom_site_fract_y
_atom_site_fract_z
Pr1 Pr 0.000 0.000 0.000
Pr2 Pr 0.168 0.500 0.333
Y1 Y 0.168 0.500 0.834
Er1 Er 0.000 0.000 0.500
Te1 Te 0.003 0.500 0.739
Te2 Te 0.162 0.000 0.590
Te3 Te 0.169 0.000 0.075
```

The 10 most intense peaks (5 to 70 degrees two-theta), in order of rising 2θ:
| 2theta | I (rel.) |
| --- | --- |
| 28.43 | 100 |
| 40.05 | 13 |
| 40.21 | 25 |
| 41.07 | 25 |
| 41.19 | 12 |
| 49.12 | 7 |
| 50.57 | 7 |
| 50.81 | 13 |
| 58.82 | 12 |
| 67.39 | 6 |

***

Simulated X-ray diffraction stick pattern of SmAg3 for CuKα, from the GGA-PBE geometry in Alexandria.
No peak broadening, texture or thermal motion is included.

```
data_SmAg3
_cell_length_a 4.742
_cell_length_b 4.742
_cell_length_c 7.690
_cell_angle_alpha 90.00
_cell_angle_beta 90.00
_cell_angle_gamma 90.00
_symmetry_space_group_name_H-M 'I 4/m m m'
_symmetry_Int_Tables_number 139
_symmetry_space_group_name_Hall '-I 4 2'
loop_
_atom_site_label
_atom_site_type_symbol
_atom_site_fract_x
_atom_site_fract_y
_atom_site_fract_z
Sm1 Sm 0.000 0.000 0.000
Ag1 Ag 0.000 0.000 0.500
Ag2 Ag 0.000 0.500 0.250
```

The 9 most intense peaks (5 to 70 degrees two-theta), in order of rising 2θ:
| 2theta | I (rel.) |
| --- | --- |
| 22.02 | 2 |
| 26.58 | 1 |
| 35.52 | 100 |
| 37.95 | 42 |
| 44.31 | 1 |
| 47.28 | 11 |
| 54.75 | 14 |
| 62.16 | 19 |
| 66.98 | 30 |

***

Simulated X-ray diffraction stick pattern of Ir5PtRh6 for CuKα, from the GGA-PBE geometry in Alexandria.
No peak broadening, texture or thermal motion is included.

```
data_Ir5PtRh6
_cell_length_a 7.3117
_cell_length_b 7.3117
_cell_length_c 7.8990
_cell_angle_alpha 90.00
_cell_angle_beta 90.00
_cell_angle_gamma 120.00
_symmetry_space_group_name_H-M 'P 63/m c m'
_symmetry_Int_Tables_number 193
_symmetry_space_group_name_Hall '-P 6c 2'
loop_
_atom_site_label
_atom_site_type_symbol
_atom_site_fract_x
_atom_site_fract_y
_atom_site_fract_z
Ir1 Ir 0.0000 0.3747 0.2500
Ir2 Ir 0.3333 0.6667 0.0000
Pt1 Pt 0.0000 0.0000 0.2500
Rh1 Rh 0.0000 0.3062 0.5860
```

The 10 most intense peaks (5 to 70 degrees two-theta), in order of rising 2θ:
| 2theta | I (rel.) |
| --- | --- |
| 26.60 | 20 |
| 33.40 | 15 |
| 36.37 | 47 |
| 39.34 | 15 |
| 42.30 | 78 |
| 42.84 | 100 |
| 44.25 | 23 |
| 61.78 | 19 |
| 64.63 | 12 |
| 68.87 | 21 |

***

Simulated X-ray diffraction stick pattern of CaSiAu for CuKα, from the GGA-PBE geometry in Alexandria.
No peak broadening, texture or thermal motion is included.

```
data_CaSiAu
_cell_length_a 4.3770
_cell_length_b 4.3770
_cell_length_c 3.8986
_cell_angle_alpha 90.00
_cell_angle_beta 90.00
_cell_angle_gamma 120.00
_symmetry_space_group_name_H-M 'P -6 m 2'
_symmetry_Int_Tables_number 187
_symmetry_space_group_name_Hall 'P -6 2'
loop_
_atom_site_label
_atom_site_type_symbol
_atom_site_fract_x
_atom_site_fract_y
_atom_site_fract_z
Ca1 Ca 0.0000 0.0000 0.0000
Si1 Si 0.3333 0.6667 0.5000
Au1 Au 0.6667 0.3333 0.5000
```

The 10 most intense peaks (5 to 70 degrees two-theta), in order of rising 2θ:
| 2theta | I (rel.) |
| --- | --- |
| 22.81 | 31 |
| 23.47 | 66 |
| 32.96 | 100 |
| 41.25 | 43 |
| 47.65 | 27 |
| 48.00 | 11 |
| 52.81 | 16 |
| 53.78 | 25 |
| 63.96 | 23 |
| 69.96 | 23 |

***

Simulated X-ray diffraction stick pattern of Yb for CuKα, from the GGA-PBE geometry in Alexandria.
No peak broadening, texture or thermal motion is included.

```
data_Yb
_cell_length_a 3.823
_cell_length_b 6.649
_cell_length_c 6.332
_cell_angle_alpha 90.00
_cell_angle_beta 90.00
_cell_angle_gamma 90.00
_symmetry_space_group_name_H-M 'C m c m'
_symmetry_Int_Tables_number 63
_symmetry_space_group_name_Hall '-C 2c 2'
loop_
_atom_site_label
_atom_site_type_symbol
_atom_site_fract_x
_atom_site_fract_y
_atom_site_fract_z
Yb1 Yb 0.000 0.165 0.250
```

The 10 most intense peaks (5 to 70 degrees two-theta), in order of rising 2θ:
| 2theta | I (rel.) |
| --- | --- |
| 26.87 | 23 |
| 28.19 | 27 |
| 30.41 | 100 |
| 39.34 | 17 |
| 47.41 | 13 |
| 47.57 | 7 |
| 51.30 | 24 |
| 56.07 | 16 |
| 56.21 | 8 |
| 57.48 | 12 |

***

Simulated X-ray diffraction stick pattern of Pm3CdI3 for CuKα, from the GGA-PBE geometry in Alexandria.
No peak broadening, texture or thermal motion is included.

```
data_Pm3CdI3
_cell_length_a 12.588
_cell_length_b 12.588
_cell_length_c 12.588
_cell_angle_alpha 90.00
_cell_angle_beta 90.00
_cell_angle_gamma 90.00
_symmetry_space_group_name_H-M 'I 41 3 2'
_symmetry_Int_Tables_number 214
_symmetry_space_group_name_Hall 'I 4bd 2c 3'
loop_
_atom_site_label
_atom_site_type_symbol
_atom_site_fract_x
_atom_site_fract_y
_atom_site_fract_z
Pm1 Pm 0.117 0.367 0.125
Cd1 Cd 0.125 0.125 0.125
I1 I 0.117 0.133 0.625
```

The 10 most intense peaks (5 to 70 degrees two-theta), in order of rising 2θ:
| 2theta | I (rel.) |
| --- | --- |
| 9.94 | 13 |
| 26.49 | 13 |
| 28.36 | 100 |
| 33.39 | 8 |
| 40.54 | 74 |
| 50.21 | 26 |
| 53.49 | 6 |
| 57.66 | 6 |
| 58.67 | 12 |
| 66.43 | 31 |

***

Simulated X-ray diffraction stick pattern of Ac4La2Nd for CuKα, from the GGA-PBE geometry in Alexandria.
No peak broadening, texture or thermal motion is included.

```
data_Ac4La2Nd
_cell_length_a 7.362
_cell_length_b 12.501
_cell_length_c 12.895
_cell_angle_alpha 90.00
_cell_angle_beta 90.00
_cell_angle_gamma 90.00
_symmetry_space_group_name_H-M 'I m m a'
_symmetry_Int_Tables_number 74
_symmetry_space_group_name_Hall '-I 2b 2'
loop_
_atom_site_label
_atom_site_type_symbol
_atom_site_fract_x
_atom_site_fract_y
_atom_site_fract_z
Ac1 Ac 0.000 0.008 0.151
Ac2 Ac 0.232 0.250 0.988
La1 La 0.000 0.000 0.500
La2 La 0.000 0.250 0.725
Nd1 Nd 0.250 0.250 0.250
```

The 10 most intense peaks (5 to 70 degrees two-theta), in order of rising 2θ:
| 2theta | I (rel.) |
| --- | --- |
| 23.97 | 28 |
| 27.95 | 100 |
| 28.13 | 95 |
| 28.56 | 74 |
| 31.22 | 57 |
| 31.43 | 23 |
| 37.07 | 19 |
| 47.45 | 19 |
| 51.36 | 27 |
| 58.17 | 19 |